NdNi: theoretical X-ray powder pattern (λ = 1.5418 Å (Cu Kα)), based on DFT lattice parameters and positions (PBE).
Lines closer than 0.1° are merged.

Peak list (10 most intense, 15 to 90 degrees two-theta, most intense first)
2θ (°), intensity
32.5, 100
40.7, 54
34.6, 40
26.7, 35
55.5, 30
42.0, 28
33.8, 28
47.8, 19
75.8, 19
40.0, 17

Cell and atoms:
```
NdNi
1.0
1.904 -5.298 0.000
1.904 5.298 0.000
0.000 0.000 4.305
Nd Ni
2 2
direct
0.138 0.862 0.750 Nd
0.862 0.138 0.250 Nd
0.427 0.573 0.750 Ni
0.573 0.427 0.250 Ni
```